# 1
AcLa6Sm2: theoretical X-ray diffraction stick pattern (CuKα), based on a structure optimized by DFT (GGA-PBE).

Principal peaks in the range 2θ = 10–80°, by intensity:
| 2θ/deg | d/Å | I (rel.) |
| --- | --- | --- |
| 29.40 | 3.038 | 100 |
| 28.05 | 3.181 | 57 |
| 31.69 | 2.824 | 54 |
| 29.22 | 3.057 | 53 |
| 37.09 | 2.424 | 35 |
| 56.98 | 1.616 | 24 |
| 36.05 | 2.491 | 24 |
| 55.43 | 1.658 | 23 |

Cell and atoms:
Cell: 10.3712 10.3712 3.7545 Å, 90.00 90.00 124.30°
Atoms (fractional coordinates):
Ac: 0.0000 0.0000 0.0000
La: 0.1632 0.4905 0.0000
La: 0.3291 0.3291 0.5000
La: 0.4905 0.1632 0.0000
La: 0.5095 0.8368 0.0000
La: 0.6709 0.6709 0.5000
La: 0.8368 0.5095 0.0000
Sm: 0.1839 0.8161 0.5000
Sm: 0.8161 0.1839 0.5000

---

# 2
Ac12LaSn4: theoretical X-ray diffraction stick pattern (CuKα), based on a structure optimized by DFT (GGA-PBE).

Principal peaks in the range 2θ = 10–80°, by intensity:
| 2θ/deg | d/Å | I (rel.) |
| --- | --- | --- |
| 23.86 | 3.730 | 100 |
| 28.31 | 3.152 | 52 |
| 44.80 | 2.023 | 29 |
| 37.35 | 2.408 | 26 |
| 52.63 | 1.739 | 24 |
| 67.37 | 1.390 | 21 |
| 33.99 | 2.637 | 21 |
| 38.93 | 2.313 | 19 |

Cell and atoms:
Cell: 10.2148 10.2148 10.2148 Å, 109.47 109.47 109.47°
Atoms (fractional coordinates):
Ac: 0.1638 0.8345 0.3293
Ac: 0.1655 0.3293 0.4948
Ac: 0.1655 0.6707 0.8362
Ac: 0.3293 0.1638 0.8345
Ac: 0.3293 0.4948 0.1655
Ac: 0.4948 0.1655 0.3293
Ac: 0.5052 0.8345 0.6707
Ac: 0.6707 0.5052 0.8345
Ac: 0.6707 0.8362 0.1655
Ac: 0.8345 0.3293 0.1638
Ac: 0.8345 0.6707 0.5052
Ac: 0.8362 0.1655 0.6707
La: 0.0000 0.0000 0.0000
Sn: 0.0000 0.0000 0.5000
Sn: 0.0000 0.5000 0.0000
Sn: 0.5000 0.0000 0.0000
Sn: 0.5000 0.5000 0.5000

---

# 3
Ac6LaSn6: theoretical X-ray diffraction stick pattern (CuKα), based on a structure optimized by DFT (GGA-PBE).

Principal peaks in the range 2θ = 10–80°, by intensity:
| 2θ/deg | d/Å | I (rel.) |
| --- | --- | --- |
| 31.80 | 2.814 | 100 |
| 25.47 | 3.498 | 80 |
| 29.05 | 3.074 | 50 |
| 44.89 | 2.019 | 41 |
| 60.22 | 1.537 | 23 |
| 56.06 | 1.641 | 21 |
| 74.52 | 1.273 | 19 |
| 43.25 | 2.092 | 17 |

Cell and atoms:
Cell: 8.0772 8.0772 9.4762 Å, 90.00 90.00 120.00°
Atoms (fractional coordinates):
Ac: 0.0000 0.5000 0.2445
Ac: 0.0000 0.5000 0.7555
Ac: 0.5000 0.0000 0.2445
Ac: 0.5000 0.0000 0.7555
Ac: 0.5000 0.5000 0.2445
Ac: 0.5000 0.5000 0.7555
La: 0.0000 0.0000 0.5000
Sn: 0.0000 0.0000 0.1592
Sn: 0.0000 0.0000 0.8408
Sn: 0.3333 0.6667 0.0000
Sn: 0.3333 0.6667 0.5000
Sn: 0.6667 0.3333 0.0000
Sn: 0.6667 0.3333 0.5000

---

# 4
Ac2La3Sn3: theoretical X-ray diffraction stick pattern (CuKα), based on a structure optimized by DFT (GGA-PBE).

Principal peaks in the range 2θ = 10–80°, by intensity:
| 2θ/deg | d/Å | I (rel.) |
| --- | --- | --- |
| 30.91 | 2.893 | 100 |
| 32.18 | 2.782 | 31 |
| 61.12 | 1.516 | 20 |
| 28.29 | 3.154 | 20 |
| 45.21 | 2.006 | 17 |
| 26.85 | 3.320 | 15 |
| 50.46 | 1.809 | 15 |
| 47.44 | 1.916 | 13 |

Cell and atoms:
Cell: 9.6371 9.6371 7.2380 Å, 90.00 90.00 120.00°
Atoms (fractional coordinates):
Ac: 0.3333 0.6667 0.0000
Ac: 0.3333 0.6667 0.5000
Ac: 0.6667 0.3333 0.0000
Ac: 0.6667 0.3333 0.5000
La: 0.0000 0.2436 0.2500
La: 0.0000 0.7564 0.7500
La: 0.2436 0.0000 0.2500
La: 0.2436 0.2436 0.7500
La: 0.7564 0.0000 0.7500
La: 0.7564 0.7564 0.2500
Sn: 0.0000 0.3873 0.7500
Sn: 0.0000 0.6127 0.2500
Sn: 0.3873 0.0000 0.7500
Sn: 0.3873 0.3873 0.2500
Sn: 0.6127 0.0000 0.2500
Sn: 0.6127 0.6127 0.7500

---

- Which formula does entry 4 have?
  Ac2La3Sn3